(1)
# MgCdIn2Hg8
Computed XRD peak list, Cu Ka. Input: a crystal structure in Alexandria, relaxed with GGA-PBE.
Intensities are scaled so that the largest is 100.

Cell and atoms:
```
data_MgCdIn2Hg8
_cell_length_a 6.3598
_cell_length_b 6.3598
_cell_length_c 9.0459
_cell_angle_alpha 90.00
_cell_angle_beta 90.00
_cell_angle_gamma 120.00
_symmetry_space_group_name_H-M 'P -3 m 1'
_symmetry_Int_Tables_number 164
_symmetry_space_group_name_Hall '-P 3 2"'
loop_
_atom_site_label
_atom_site_type_symbol
_atom_site_fract_x
_atom_site_fract_y
_atom_site_fract_z
_atom_site_occupancy
Mg1 Mg 0.0000 0.0000 0.0000 1
Cd1 Cd 0.0000 0.0000 0.5000 1
In1 In 0.3333 0.6667 0.4271 1
Hg1 Hg 0.1731 0.3463 0.7580 1
Hg2 Hg 0.3333 0.6667 0.0742 1
```

Principal peaks in the range 10° ≤ 2θ ≤ 80°, in order of falling intensity:
hkl	2θ (°)	d_spacing	I_rel
0 2 1	34.03	2.635	100
1 0 3	33.89	2.645	52
1 1 2	34.48	2.601	48
4 0 1	68.95	1.362	26
2 2 0	58.01	1.590	25
2 1 3	53.49	1.713	23
0 2 5	61.31	1.512	22
2 0 0	32.51	2.754	20
0 0 2	19.63	4.523	17
2 0 2	38.26	2.352	15

(2)
# MgCd2In2Hg7
Computed XRD peak list, Cu Ka. Input: a crystal structure in Alexandria, relaxed with GGA-PBE.
Intensities are scaled so that the largest is 100.

Cell and atoms:
```
data_MgCd2In2Hg7
_cell_length_a 5.336
_cell_length_b 20.839
_cell_length_c 5.435
_cell_angle_alpha 90.00
_cell_angle_beta 90.00
_cell_angle_gamma 90.00
_symmetry_space_group_name_H-M 'I m m 2'
_symmetry_Int_Tables_number 44
_symmetry_space_group_name_Hall 'I 2 -2'
loop_
_atom_site_label
_atom_site_type_symbol
_atom_site_fract_x
_atom_site_fract_y
_atom_site_fract_z
_atom_site_occupancy
Mg1 Mg 0.000 0.000 0.000 1
Cd1 Cd 0.000 0.251 0.493 1
In1 In 0.000 0.334 0.991 1
Hg1 Hg 0.000 0.081 0.497 1
Hg2 Hg 0.000 0.165 0.995 1
Hg3 Hg 0.000 0.420 0.489 1
Hg4 Hg 0.000 0.500 0.988 1
```

Principal peaks in the range 10° ≤ 2θ ≤ 80°, in order of falling intensity:
hkl	2θ (°)	d_spacing	I_rel
1 6 1	34.97	2.566	100
0 0 2	32.96	2.717	29
2 0 0	33.59	2.668	28
1 6 3	60.17	1.538	21
2 0 2	47.77	1.904	21
3 6 1	60.95	1.520	20
2 12 2	73.87	1.283	11
0 12 2	63.58	1.463	9
2 12 0	63.97	1.455	9
0 12 0	52.71	1.737	8

(3)
# Mg2Cd2InHg2
Computed XRD peak list, Cu Ka. Input: a crystal structure in Alexandria, relaxed with GGA-PBE.
Intensities are scaled so that the largest is 100.

Cell and atoms:
```
data_Mg2Cd2InHg2
_cell_length_a 11.303
_cell_length_b 5.268
_cell_length_c 6.083
_cell_angle_alpha 90.00
_cell_angle_beta 105.43
_cell_angle_gamma 90.00
_symmetry_space_group_name_H-M 'C 1 2/m 1'
_symmetry_Int_Tables_number 12
_symmetry_space_group_name_Hall '-C 2y'
loop_
_atom_site_label
_atom_site_type_symbol
_atom_site_fract_x
_atom_site_fract_y
_atom_site_fract_z
_atom_site_occupancy
Mg1 Mg 0.242 0.000 0.350 1
Cd1 Cd 0.007 0.500 0.267 1
In1 In 0.000 0.000 0.000 1
Hg1 Hg 0.228 0.000 0.825 1
```

Principal peaks in the range 10° ≤ 2θ ≤ 80°, in order of falling intensity:
hkl	2θ (°)	d_spacing	I_rel
3 1 -2	37.95	2.371	100
1 1 1	25.49	3.495	61
0 2 0	34.04	2.634	40
4 0 0	32.88	2.724	36
0 0 2	30.46	2.935	28
0 0 1	15.11	5.864	25
4 2 0	48.05	1.893	25
3 3 -2	63.52	1.465	22
7 1 -2	62.17	1.493	18
5 1 1	51.49	1.775	16

(4)
# NaCd2In5Hg
Computed XRD peak list, Cu Ka. Input: a crystal structure in Alexandria, relaxed with GGA-PBE.
Intensities are scaled so that the largest is 100.

Cell and atoms:
```
data_NaCd2In5Hg
_cell_length_a 3.342
_cell_length_b 16.507
_cell_length_c 17.047
_cell_angle_alpha 90.00
_cell_angle_beta 90.00
_cell_angle_gamma 90.00
_symmetry_space_group_name_H-M 'C m c 21'
_symmetry_Int_Tables_number 36
_symmetry_space_group_name_Hall 'C 2c -2'
loop_
_atom_site_label
_atom_site_type_symbol
_atom_site_fract_x
_atom_site_fract_y
_atom_site_fract_z
_atom_site_occupancy
Na1 Na 0.000 0.044 0.000 1
Cd1 Cd 0.000 0.364 0.007 1
Cd2 Cd 0.000 0.432 0.321 1
In1 In 0.000 0.093 0.657 1
In2 In 0.000 0.099 0.351 1
In3 In 0.000 0.219 0.886 1
In4 In 0.000 0.248 0.220 1
In5 In 0.000 0.424 0.681 1
Hg1 Hg 0.000 0.296 0.551 1
```

Principal peaks in the range 10° ≤ 2θ ≤ 80°, in order of falling intensity:
hkl	2θ (°)	d_spacing	I_rel
1 3 3	35.16	2.552	100
0 6 1	33.02	2.712	47
0 0 6	31.51	2.839	45
0 2 6	33.35	2.686	24
0 4 6	38.50	2.338	21
1 1 9	56.09	1.640	20
0 2 2	14.94	5.929	17
0 2 0	10.72	8.253	16
1 3 4	37.92	2.373	13
0 6 0	32.55	2.751	13

(5)
# NaCd3InHg6
Computed XRD peak list, Cu Ka. Input: a crystal structure in Alexandria, relaxed with GGA-PBE.
Intensities are scaled so that the largest is 100.

Cell and atoms:
```
data_NaCd3InHg6
_cell_length_a 9.3982
_cell_length_b 9.3982
_cell_length_c 11.4402
_cell_angle_alpha 90.00
_cell_angle_beta 90.00
_cell_angle_gamma 120.00
_symmetry_space_group_name_H-M 'R 3'
_symmetry_Int_Tables_number 146
_symmetry_space_group_name_Hall 'R 3'
loop_
_atom_site_label
_atom_site_type_symbol
_atom_site_fract_x
_atom_site_fract_y
_atom_site_fract_z
_atom_site_occupancy
Na1 Na 0.0000 0.0000 0.0000 1
Cd1 Cd 0.1640 0.4648 0.9502 1
In1 In 0.0000 0.0000 0.5463 1
Hg1 Hg 0.0213 0.2198 0.7538 1
Hg2 Hg 0.0447 0.6919 0.1517 1
```

Principal peaks in the range 10° ≤ 2θ ≤ 80°, in order of falling intensity:
hkl	2θ (°)	d_spacing	I_rel
3 -2 2	33.06	2.710	100
2 -1 3	30.18	2.961	48
2 2 0	38.31	2.350	40
3 0 3	40.79	2.212	36
0 1 2	18.93	4.687	24
2 1 1	30.08	2.971	21
2 1 4	43.19	2.095	20
2 -1 6	51.74	1.767	18
1 0 4	33.20	2.698	18
1 4 3	57.20	1.610	16

(6)
# Na2Cd2InHg2
Computed XRD peak list, Cu Ka. Input: a crystal structure in Alexandria, relaxed with GGA-PBE.
Intensities are scaled so that the largest is 100.

Cell and atoms:
```
data_Na2Cd2InHg2
_cell_length_a 5.1662
_cell_length_b 5.1662
_cell_length_c 22.4813
_cell_angle_alpha 90.00
_cell_angle_beta 90.00
_cell_angle_gamma 120.00
_symmetry_space_group_name_H-M 'R -3 m'
_symmetry_Int_Tables_number 166
_symmetry_space_group_name_Hall '-R 3 2"'
loop_
_atom_site_label
_atom_site_type_symbol
_atom_site_fract_x
_atom_site_fract_y
_atom_site_fract_z
_atom_site_occupancy
Na1 Na 0.0000 0.0000 0.1397 1
Cd1 Cd 0.0000 0.0000 0.4218 1
In1 In 0.0000 0.0000 0.0000 1
Hg1 Hg 0.0000 0.0000 0.2759 1
```

Principal peaks in the range 10° ≤ 2θ ≤ 80°, in order of falling intensity:
hkl	2θ (°)	d_spacing	I_rel
1 1 0	34.73	2.583	100
1 0 7	34.37	2.609	91
0 0 3	11.81	7.494	37
2 1 7	62.02	1.496	32
0 2 7	49.67	1.836	32
1 0 4	25.45	3.500	31
3 0 0	62.25	1.491	18
1 1 6	42.51	2.127	17
1 1 3	36.80	2.442	16
0 0 6	23.75	3.747	13

(7)
# NaCdIn3Hg6
Computed XRD peak list, Cu Ka. Input: a crystal structure in Alexandria, relaxed with GGA-PBE.
Intensities are scaled so that the largest is 100.

Cell and atoms:
```
data_NaCdIn3Hg6
_cell_length_a 9.7894
_cell_length_b 9.7894
_cell_length_c 10.8265
_cell_angle_alpha 90.00
_cell_angle_beta 90.00
_cell_angle_gamma 120.00
_symmetry_space_group_name_H-M 'R 3'
_symmetry_Int_Tables_number 146
_symmetry_space_group_name_Hall 'R 3'
loop_
_atom_site_label
_atom_site_type_symbol
_atom_site_fract_x
_atom_site_fract_y
_atom_site_fract_z
_atom_site_occupancy
Na1 Na 0.0000 0.0000 0.0000 1
Cd1 Cd 0.0000 0.0000 0.5194 1
In1 In 0.1512 0.4558 0.9429 1
Hg1 Hg 0.0204 0.2014 0.7450 1
Hg2 Hg 0.0423 0.6862 0.1521 1
```

Principal peaks in the range 10° ≤ 2θ ≤ 80°, in order of falling intensity:
hkl	2θ (°)	d_spacing	I_rel
3 -2 2	32.47	2.757	100
2 2 0	36.72	2.447	58
2 -1 3	30.78	2.905	46
3 0 3	40.55	2.225	28
1 0 4	34.79	2.578	22
1 0 1	13.26	6.675	20
0 1 2	19.46	4.562	18
2 1 1	29.06	3.073	17
2 -1 6	54.17	1.693	17
4 -3 1	39.21	2.298	16

(8)
# NaCdInHg3
Computed XRD peak list, Cu Ka. Input: a crystal structure in Alexandria, relaxed with GGA-PBE.
Intensities are scaled so that the largest is 100.

Cell and atoms:
```
data_NaCdInHg3
_cell_length_a 7.228
_cell_length_b 4.847
_cell_length_c 9.215
_cell_angle_alpha 90.00
_cell_angle_beta 109.47
_cell_angle_gamma 90.00
_symmetry_space_group_name_H-M 'P 1 21/m 1'
_symmetry_Int_Tables_number 11
_symmetry_space_group_name_Hall '-P 2yb'
loop_
_atom_site_label
_atom_site_type_symbol
_atom_site_fract_x
_atom_site_fract_y
_atom_site_fract_z
_atom_site_occupancy
Na1 Na 0.130 0.250 0.279 1
Cd1 Cd 0.494 0.250 0.614 1
In1 In 0.482 0.750 0.863 1
Hg1 Hg 0.166 0.750 0.522 1
Hg2 Hg 0.178 0.750 0.066 1
Hg3 Hg 0.185 0.250 0.802 1
```

Principal peaks in the range 10° ≤ 2θ ≤ 80°, in order of falling intensity:
hkl	2θ (°)	d_spacing	I_rel
2 1 -2	33.12	2.705	100
1 1 2	33.48	2.676	92
0 2 0	37.10	2.424	38
3 0 0	39.68	2.271	30
1 0 -4	39.11	2.303	28
3 2 0	55.44	1.657	22
1 2 -4	55.00	1.670	21
0 1 1	20.99	4.233	18
2 3 -2	64.36	1.448	15
1 3 2	64.58	1.443	14

(9)
# CdInHg3Pb
Computed XRD peak list, Cu Ka. Input: a crystal structure in Alexandria, relaxed with GGA-PBE.
Intensities are scaled so that the largest is 100.

Cell and atoms:
```
data_CdInHg3Pb
_cell_length_a 8.614
_cell_length_b 3.810
_cell_length_c 10.256
_cell_angle_alpha 90.00
_cell_angle_beta 108.14
_cell_angle_gamma 90.00
_symmetry_space_group_name_H-M 'P 1 21/m 1'
_symmetry_Int_Tables_number 11
_symmetry_space_group_name_Hall '-P 2yb'
loop_
_atom_site_label
_atom_site_type_symbol
_atom_site_fract_x
_atom_site_fract_y
_atom_site_fract_z
_atom_site_occupancy
Cd1 Cd 0.148 0.250 0.130 1
In1 In 0.383 0.750 0.375 1
Hg1 Hg 0.104 0.250 0.430 1
Hg2 Hg 0.111 0.250 0.829 1
Hg3 Hg 0.400 0.750 0.063 1
Pb1 Pb 0.319 0.750 0.692 1
```

Principal peaks in the range 10° ≤ 2θ ≤ 80°, in order of falling intensity:
hkl	2θ (°)	d_spacing	I_rel
2 1 0	32.10	2.789	100
1 1 -3	35.35	2.539	78
1 0 3	32.67	2.741	52
3 0 -3	35.78	2.509	32
0 1 2	29.75	3.003	21
1 2 3	59.05	1.564	20
0 2 0	47.74	1.905	19
4 0 0	44.27	2.046	18
3 2 -3	61.07	1.517	14
4 2 0	67.14	1.394	13

(10)
# Cd2In2Hg3Pb2
Computed XRD peak list, Cu Ka. Input: a crystal structure in Alexandria, relaxed with GGA-PBE.
Intensities are scaled so that the largest is 100.

Cell and atoms:
```
data_Cd2In2Hg3Pb2
_cell_length_a 5.766
_cell_length_b 5.766
_cell_length_c 15.502
_cell_angle_alpha 90.00
_cell_angle_beta 90.00
_cell_angle_gamma 90.00
_symmetry_space_group_name_H-M 'I 4/m m m'
_symmetry_Int_Tables_number 139
_symmetry_space_group_name_Hall '-I 4 2'
loop_
_atom_site_label
_atom_site_type_symbol
_atom_site_fract_x
_atom_site_fract_y
_atom_site_fract_z
_atom_site_occupancy
Cd1 Cd 0.000 0.500 0.000 1
In1 In 0.000 0.000 0.185 1
Hg1 Hg 0.000 0.000 0.000 1
Hg2 Hg 0.000 0.500 0.250 1
Pb1 Pb 0.000 0.000 0.392 1
```

Principal peaks in the range 10° ≤ 2θ ≤ 80°, in order of falling intensity:
hkl	2θ (°)	d_spacing	I_rel
2 0 0	31.02	2.883	100
1 1 4	31.86	2.809	58
1 0 5	32.80	2.731	51
2 1 5	45.77	1.982	41
2 2 0	44.44	2.039	38
3 1 4	55.71	1.650	26
4 2 0	73.45	1.289	17
3 2 5	65.70	1.421	14
1 1 2	24.67	3.608	14
2 0 8	57.29	1.608	13

(11)
# Cd2In7Hg2Pb
Computed XRD peak list, Cu Ka. Input: a crystal structure in Alexandria, relaxed with GGA-PBE.
Intensities are scaled so that the largest is 100.

Cell and atoms:
```
data_Cd2In7Hg2Pb
_cell_length_a 4.725
_cell_length_b 28.890
_cell_length_c 5.199
_cell_angle_alpha 90.00
_cell_angle_beta 90.00
_cell_angle_gamma 90.00
_symmetry_space_group_name_H-M 'I m m 2'
_symmetry_Int_Tables_number 44
_symmetry_space_group_name_Hall 'I 2 -2'
loop_
_atom_site_label
_atom_site_type_symbol
_atom_site_fract_x
_atom_site_fract_y
_atom_site_fract_z
_atom_site_occupancy
Cd1 Cd 0.000 0.189 0.000 1
In1 In 0.000 0.000 0.512 1
In2 In 0.000 0.081 0.008 1
In3 In 0.000 0.250 0.500 1
In4 In 0.000 0.421 0.019 1
Hg1 Hg 0.000 0.144 0.501 1
Pb1 Pb 0.000 0.500 0.517 1
```

Principal peaks in the range 10° ≤ 2θ ≤ 80°, in order of falling intensity:
hkl	2θ (°)	d_spacing	I_rel
1 8 1	35.74	2.512	100
1 3 0	20.94	4.242	49
0 0 2	34.50	2.600	43
1 6 1	31.62	2.829	35
2 0 0	38.09	2.363	33
2 0 2	52.33	1.748	26
1 8 3	62.62	1.483	20
1 3 2	40.71	2.217	18
1 4 1	28.36	3.147	16
3 8 1	67.31	1.391	15

(12)
# Cd3In2Hg6Pb
Computed XRD peak list, Cu Ka. Input: a crystal structure in Alexandria, relaxed with GGA-PBE.
Intensities are scaled so that the largest is 100.

Cell and atoms:
```
data_Cd3In2Hg6Pb
_cell_length_a 4.165
_cell_length_b 4.165
_cell_length_c 21.242
_cell_angle_alpha 90.00
_cell_angle_beta 90.00
_cell_angle_gamma 90.00
_symmetry_space_group_name_H-M 'P 4/m m m'
_symmetry_Int_Tables_number 123
_symmetry_space_group_name_Hall '-P 4 2'
loop_
_atom_site_label
_atom_site_type_symbol
_atom_site_fract_x
_atom_site_fract_y
_atom_site_fract_z
_atom_site_occupancy
Cd1 Cd 0.000 0.000 0.000 1
Cd2 Cd 0.000 0.000 0.270 1
In1 In 0.500 0.500 0.206 1
Hg1 Hg 0.000 0.000 0.131 1
Hg2 Hg 0.000 0.500 0.379 1
Pb1 Pb 0.500 0.500 0.500 1
```

Principal peaks in the range 10° ≤ 2θ ≤ 80°, in order of falling intensity:
hkl	2θ (°)	d_spacing	I_rel
1 1 3	32.94	2.719	100
2 0 0	43.45	2.083	90
1 1 4	34.83	2.576	89
1 0 7	36.64	2.453	83
1 1 1	30.65	2.917	74
1 0 1	21.74	4.087	67
1 1 5	37.14	2.420	51
0 0 8	33.76	2.655	49
2 0 8	56.13	1.639	47
2 1 7	58.11	1.587	43